Entry 1:
Calculated powder X-ray diffraction pattern
Compound: MoBr3
Radiation: CuKα
Structure: a structure optimized by DFT (GGA-PBE)
Lines closer than 0.1° are merged.

Largest 12 diffraction maxima, sorted by position, 2θ = 15–90°:
2θ 18.77, I 37; 2θ 25.64, I 19; 2θ 31.60, I 100; 2θ 33.65, I 10; 2θ 41.42, I 50; 2θ 48.93, I 37; 2θ 54.54, I 20; 2θ 59.43, I 16; 2θ 66.00, I 12; 2θ 80.47, I 13; 2θ 83.47, I 16; 2θ 86.35, I 12

Crystal structure
```
MoBr3
1.0
3.2240 1.8614 5.9170
-3.2240 1.8614 5.9170
0.0000 -3.7228 5.9170
Mo Br
2 6
Cartesian
0.0000 0.0000 0.0000
0.0000 0.0000 8.8755
-2.1580 -0.0150 7.3962
-1.0660 -1.8764 10.3547
1.0920 -1.8614 7.3962
-1.0920 1.8614 10.3547
1.0660 1.8764 7.3962
2.1580 0.0150 10.3547
```

Entry 2:
Calculated powder X-ray diffraction pattern
Compound: MoBr6
Radiation: CuKα
Structure: a structure optimized by DFT (GGA-PBE)
Lines closer than 0.1° are merged.

Largest 12 diffraction maxima, sorted by position, 2θ = 15–90°:
2θ 15.09, I 12; 2θ 17.35, I 32; 2θ 28.08, I 13; 2θ 30.45, I 24; 2θ 30.75, I 40; 2θ 30.95, I 18; 2θ 32.04, I 100; 2θ 41.81, I 13; 2θ 41.96, I 20; 2θ 48.06, I 26; 2θ 50.47, I 13; 2θ 55.02, I 17

Crystal structure
```
MoBr6
1.0
3.3333 -5.4247 0.0000
3.3333 5.4247 0.0000
-0.0870 0.0000 11.7425
Mo Br
2 12
Cartesian
3.2681 3.6198 8.8068
3.3116 -3.6198 2.9356
2.0442 1.8072 1.5590
0.9617 0.0476 4.3818
0.9182 -0.0476 10.2530
2.2986 1.8668 7.3427
2.0007 -1.8072 7.4302
4.2376 1.8668 10.2710
2.3421 -1.8668 1.4714
4.5789 1.8072 4.3122
4.2811 -1.8668 4.3998
5.6614 0.0476 1.4894
5.6179 -0.0476 7.3607
4.5354 -1.8072 10.1835
```

Entry 3:
Calculated powder X-ray diffraction pattern
Compound: MoBr4
Radiation: CuKα
Structure: a structure optimized by DFT (GGA-PBE)
Lines closer than 0.1° are merged.

Largest 12 diffraction maxima, sorted by position, 2θ = 15–90°:
2θ 15.60, I 49; 2θ 28.52, I 19; 2θ 30.06, I 58; 2θ 32.24, I 100; 2θ 39.24, I 30; 2θ 40.99, I 30; 2θ 48.09, I 33; 2θ 52.50, I 11; 2θ 52.91, I 20; 2θ 56.42, I 12; 2θ 61.69, I 10; 2θ 79.48, I 9

Crystal structure
```
MoBr4
1.0
3.4857 -6.2595 0.0000
3.4857 6.2595 0.0000
0.0000 0.0000 13.5153
Mo Br
4 16
Cartesian
1.4701 1.5489 0.0000
1.4701 -1.5489 6.7577
5.5012 1.5489 0.0000
5.5012 -1.5489 6.7577
1.6747 2.9379 2.0342
3.4857 6.1233 1.1571
1.6815 0.1629 11.4806
1.6815 -0.1629 4.7229
3.4857 3.0267 5.5976
3.4857 2.9822 12.5278
1.6747 -2.9379 8.7919
3.4857 0.1166 0.9913
3.4857 -0.1166 7.7489
5.2966 2.9379 2.0342
3.4857 -2.9822 5.7701
3.4857 -3.0267 12.3552
5.2899 0.1629 11.4806
5.2899 -0.1629 4.7229
3.4857 -6.1233 7.9148
5.2966 -2.9379 8.7919
```

Entry 4:
Calculated powder X-ray diffraction pattern
Compound: NaMo2Br6N2
Radiation: CuKα
Structure: a structure optimized by DFT (GGA-PBE)
Lines closer than 0.1° are merged.

Largest 12 diffraction maxima, sorted by position, 2θ = 15–90°:
2θ 24.72, I 99; 2θ 31.16, I 18; 2θ 31.84, I 100; 2θ 34.54, I 22; 2θ 41.90, I 20; 2θ 44.07, I 69; 2θ 48.71, I 19; 2θ 50.57, I 16; 2θ 53.66, I 18; 2θ 57.08, I 19; 2θ 59.38, I 31; 2θ 76.83, I 16

Crystal structure
```
NaMo2Br6N2
1.0
-1.8692 5.4147 6.7206
1.8692 -5.4147 6.7206
1.8692 5.4147 -6.7206
Na Mo Br N
1 2 6 2
Cartesian
0.0000 0.0000 0.0000
1.8692 3.6849 0.0000
0.0000 1.7298 6.7206
1.8692 1.8542 -1.7402
1.8692 1.8542 1.7402
0.0000 0.0000 4.6881
0.0000 0.0000 8.7531
0.0000 3.5605 4.9804
0.0000 3.5605 8.4608
0.0000 3.9718 0.0000
0.0000 6.8577 0.0000
```

Entry 5:
Calculated powder X-ray diffraction pattern
Compound: NdMoBrN
Radiation: CuKα
Structure: a structure optimized by DFT (GGA-PBE)
Lines closer than 0.1° are merged.

Largest 12 diffraction maxima, sorted by position, 2θ = 15–90°:
2θ 29.26, I 25; 2θ 35.54, I 100; 2θ 40.07, I 14; 2θ 44.81, I 4; 2θ 50.38, I 12; 2θ 51.88, I 24; 2θ 62.95, I 4; 2θ 64.47, I 17; 2θ 67.51, I 18; 2θ 69.87, I 11; 2θ 75.23, I 4; 2θ 87.23, I 15

Crystal structure
```
NdMoBrN
1.0
3.5247 0.0000 0.0000
-1.7623 3.0525 0.0000
0.0000 0.0000 13.5008
Nd Mo Br N
2 2 2 2
Cartesian
0.0000 0.0000 2.4128
0.0000 0.0000 11.0880
0.0000 2.0350 4.5735
0.0000 2.0350 8.9273
0.0000 0.0000 6.7504
0.0000 2.0350 0.0000
1.7623 1.0175 3.8767
1.7623 1.0175 9.6241
```

Entry 6:
Calculated powder X-ray diffraction pattern
Compound: NaMo2Se2Br6
Radiation: CuKα
Structure: a structure optimized by DFT (GGA-PBE)
Lines closer than 0.1° are merged.

Largest 12 diffraction maxima, sorted by position, 2θ = 15–90°:
2θ 19.69, I 62; 2θ 27.91, I 46; 2θ 31.41, I 43; 2θ 32.90, I 100; 2θ 36.03, I 14; 2θ 36.71, I 16; 2θ 37.35, I 45; 2θ 42.29, I 18; 2θ 42.46, I 30; 2θ 43.62, I 16; 2θ 50.61, I 59; 2θ 57.68, I 14

Crystal structure
```
NaMo2Se2Br6
1.0
-2.4076 5.2978 6.4115
2.4076 -5.2978 6.4115
2.4076 5.2978 -6.4115
Na Mo Se Br
1 2 2 6
Cartesian
0.0000 0.0000 0.0000
2.4076 3.7734 0.0000
0.0000 1.5244 6.4115
0.0000 3.8217 0.0000
0.0000 6.7739 0.0000
2.4076 1.8231 -1.7301
2.4076 1.8231 1.7301
0.0000 0.0000 4.3462
0.0000 0.0000 8.4768
0.0000 3.4747 4.6814
0.0000 3.4747 8.1416
```

Entry 7:
Calculated powder X-ray diffraction pattern
Compound: MoPBr9
Radiation: CuKα
Structure: a structure optimized by DFT (GGA-PBE)
Lines closer than 0.1° are merged.

Largest 12 diffraction maxima, sorted by position, 2θ = 15–90°:
2θ 15.13, I 100; 2θ 18.64, I 47; 2θ 27.36, I 75; 2θ 27.64, I 51; 2θ 28.28, I 90; 2θ 29.14, I 45; 2θ 30.85, I 74; 2θ 33.73, I 66; 2θ 35.43, I 42; 2θ 36.36, I 49; 2θ 40.06, I 43; 2θ 48.63, I 43

Crystal structure
```
MoPBr9
1.0
7.9800 0.0000 0.0000
-1.2818 10.1756 0.0000
-0.0187 -2.1837 10.0711
Mo P Br
2 2 18
Cartesian
0.6668 1.1696 1.4726
6.0128 6.8223 8.5985
2.5789 6.5464 3.2357
4.1007 1.4455 6.8353
-0.8431 5.2025 6.9987
-0.9839 9.5023 3.0727
0.7661 0.8756 9.8215
0.3321 7.4627 9.7610
1.1116 6.2524 4.8653
2.1589 2.1790 6.1397
1.9118 5.3356 1.5251
2.9906 1.6521 2.2101
2.7497 8.6733 2.7376
3.9299 -0.6813 7.3335
3.6890 6.3398 7.8610
4.7678 2.6563 8.5460
4.5207 5.8129 3.9314
5.5680 1.7395 5.2057
6.3475 0.5292 0.3100
5.9135 7.1163 0.2496
7.6635 -1.5104 6.9984
7.5227 2.7895 3.0723
```

Entry 8:
Calculated powder X-ray diffraction pattern
Compound: RbMoBr3
Radiation: CuKα
Structure: a structure optimized by DFT (GGA-PBE)
Lines closer than 0.1° are merged.

Largest 12 diffraction maxima, sorted by position, 2θ = 15–90°:
2θ 16.27, I 16; 2θ 16.39, I 31; 2θ 23.18, I 32; 2θ 28.31, I 44; 2θ 28.73, I 42; 2θ 32.89, I 60; 2θ 33.13, I 100; 2θ 40.52, I 14; 2θ 41.12, I 15; 2θ 47.01, I 14; 2θ 47.38, I 64; 2θ 59.47, I 16

Crystal structure
```
RbMoBr3
1.0
7.7311 0.0000 0.0000
0.0000 7.5690 0.0000
0.0000 0.0000 10.8927
Rb Mo Br
4 4 12
Cartesian
0.3411 0.1144 0.0000
3.5245 3.8989 5.4464
4.2066 3.6701 0.0000
7.3901 7.4546 5.4464
0.0052 3.7869 2.7255
3.8604 0.0024 8.1719
3.8708 7.5666 2.7255
7.7259 3.7821 8.1719
0.0265 4.1024 0.0015
1.6690 5.9417 7.9439
1.6663 5.9502 2.9636
2.1966 2.1572 2.4976
2.1993 2.1657 8.4099
3.8391 0.3179 5.4479
3.8921 7.2511 0.0015
5.5318 5.4032 2.9636
5.5345 5.4117 7.9439
6.0648 1.6188 8.4099
6.0622 1.6272 2.4976
7.7046 3.4666 5.4479
```

Entry 9:
Calculated powder X-ray diffraction pattern
Compound: MoSeS3Br
Radiation: CuKα
Structure: a structure optimized by DFT (GGA-PBE)
Lines closer than 0.1° are merged.

Largest 12 diffraction maxima, sorted by position, 2θ = 15–90°:
2θ 17.11, I 54; 2θ 19.45, I 48; 2θ 23.21, I 100; 2θ 23.44, I 67; 2θ 26.42, I 81; 2θ 29.00, I 59; 2θ 29.19, I 47; 2θ 31.28, I 52; 2θ 35.45, I 51; 2θ 36.35, I 72; 2θ 44.16, I 69; 2θ 48.13, I 55

Crystal structure
```
MoSeS3Br
1.0
6.1912 0.0000 0.0000
-2.0392 7.6712 0.0000
-1.0576 -4.1727 6.7410
Mo Se S Br
2 2 6 2
Cartesian
-0.6448 7.6675 0.0000
4.7968 0.0037 0.0000
0.0011 0.4656 2.1008
3.0933 3.0329 4.6402
-1.0540 -2.4738 5.7371
0.0035 1.6687 6.3107
2.0355 -3.0788 5.2673
1.0589 6.5773 1.4737
3.0909 1.8299 0.4303
4.1483 5.9724 1.0039
0.0056 3.0627 2.5137
3.0888 0.4359 4.2273
```

Entry 10:
Calculated powder X-ray diffraction pattern
Compound: Te2MoSeSBr
Radiation: CuKα
Structure: a structure optimized by DFT (GGA-PBE)
Lines closer than 0.1° are merged.

Largest 12 diffraction maxima, sorted by position, 2θ = 15–90°:
2θ 24.60, I 94; 2θ 27.20, I 95; 2θ 29.38, I 46; 2θ 31.85, I 49; 2θ 32.28, I 55; 2θ 32.91, I 100; 2θ 33.56, I 99; 2θ 33.68, I 52; 2θ 34.21, I 47; 2θ 37.19, I 57; 2θ 39.70, I 53; 2θ 40.22, I 97

Crystal structure
```
Te2MoSeSBr
1.0
6.6588 0.0000 0.0000
-1.2747 8.2286 0.0000
-3.3275 -3.6334 6.7181
Te Mo Se S Br
4 2 2 2 2
Cartesian
-3.3250 -1.5182 6.7172
0.0023 0.4069 2.1463
2.0544 4.1883 4.5718
5.3817 6.1134 0.0009
-2.6875 4.5899 6.7163
4.7443 0.0053 0.0018
-1.2664 2.6805 5.7692
3.3231 1.9147 0.9489
-0.0017 -2.1293 5.4254
2.0584 6.7245 1.2927
-1.2699 4.8183 2.7236
3.3267 -0.2231 3.9945
```

Entry 11:
Calculated powder X-ray diffraction pattern
Compound: Te2MoSeSBr
Radiation: CuKα
Structure: a structure optimized by DFT (GGA-PBE)
Lines closer than 0.1° are merged.

Largest 12 diffraction maxima, sorted by position, 2θ = 15–90°:
2θ 24.69, I 65; 2θ 27.41, I 95; 2θ 28.10, I 43; 2θ 29.62, I 65; 2θ 31.77, I 65; 2θ 33.06, I 64; 2θ 33.84, I 100; 2θ 36.65, I 54; 2θ 40.38, I 68; 2θ 41.45, I 41; 2θ 42.78, I 39; 2θ 45.64, I 53

Crystal structure
```
Te2MoSeSBr
1.0
6.6037 0.0000 0.0000
-2.0664 8.1090 0.0000
-1.2560 -4.4824 7.0680
Te Mo Se S Br
4 2 2 2 2
Cartesian
-1.0325 2.8890 1.7919
-1.0352 6.1137 0.7720
4.3166 -2.4871 6.2960
4.3138 0.7376 5.2761
-0.3963 -0.4253 7.0668
3.6776 4.0519 0.0012
1.0150 -0.7822 4.9570
2.2664 4.4088 2.1110
2.2637 2.3539 1.0135
1.0177 1.2728 6.0545
-1.0507 4.5771 4.4001
4.3321 -0.9504 2.6679
```

Entry 12:
Calculated powder X-ray diffraction pattern
Compound: TeMoS3Br
Radiation: CuKα
Structure: a structure optimized by DFT (GGA-PBE)
Lines closer than 0.1° are merged.

Largest 12 diffraction maxima, sorted by position, 2θ = 15–90°:
2θ 16.83, I 64; 2θ 19.09, I 71; 2θ 23.78, I 62; 2θ 24.18, I 100; 2θ 32.32, I 73; 2θ 33.84, I 54; 2θ 34.09, I 77; 2θ 34.35, I 80; 2θ 36.97, I 45; 2θ 40.03, I 86; 2θ 44.55, I 50; 2θ 46.62, I 46

Crystal structure
```
TeMoS3Br
1.0
6.3805 0.0000 0.0000
-1.6592 7.3027 0.0000
-3.1605 -2.4832 7.0723
Te Mo S Br
2 2 6 2
Cartesian
-0.0045 1.4694 1.6179
1.5653 3.3501 5.4544
1.7747 0.0080 0.0053
-0.2138 4.8116 7.0670
-1.6534 5.6399 0.8335
-1.6368 4.7821 5.0845
-1.6468 3.0133 6.2674
3.2076 1.8062 0.8049
3.1976 0.0375 1.9878
3.2142 -0.8204 6.2388
0.0254 0.2939 4.2393
1.5354 4.5256 2.8330
```